Ba2Ag2Sn: computed powder diffractogram (CuKα), based on a PBE-relaxed structure.

Most intense lines, 2θ from 15° to 90°, by intensity:
27.01 deg, I = 100; 28.26 deg, I = 94; 34.96 deg, I = 72; 36.64 deg, I = 58; 30.62 deg, I = 51; 28.69 deg, I = 39

Cell and atoms:
abc: 6.697 6.697 12.921
angles: 113.44 113.44 42.96
Element x y z (fractional)
Ba 0.096 0.096 0.391
Ba 0.303 0.303 0.867
Ba 0.697 0.697 0.133
Ba 0.904 0.904 0.609
Ag 0.039 0.039 0.911
Ag 0.394 0.394 0.390
Ag 0.606 0.606 0.610
Ag 0.961 0.961 0.089
Sn 0.429 0.429 0.180
Sn 0.571 0.571 0.820


Na2MnI4: computed powder diffractogram (CuKα), based on a PBE-relaxed structure.

Most intense lines, 2θ from 15° to 90°, by intensity:
22.39 deg, I = 100; 38.36 deg, I = 31; 41.14 deg, I = 30; 23.90 deg, I = 23; 34.05 deg, I = 20; 48.37 deg, I = 11

Cell and atoms:
abc: 7.447 7.447 12.089
angles: 90.00 90.00 90.00
Element x y z (fractional)
Na 0.000 0.500 0.250
Na 0.000 0.500 0.750
Na 0.500 0.000 0.250
Na 0.500 0.000 0.750
Mn 0.000 0.000 0.000
Mn 0.500 0.500 0.500
I 0.220 0.220 0.885
I 0.220 0.780 0.115
I 0.280 0.280 0.385
I 0.280 0.720 0.615
I 0.720 0.280 0.615
I 0.720 0.720 0.385
I 0.780 0.220 0.115
I 0.780 0.780 0.885